Starting from a structure optimized by DFT (GGA-PBE), the powder X-ray diffraction pattern of CaCu2As4O14 was simulated for copper Kα.
Kinematic intensities with the Lorentz-polarization factor, no thermal factor.

Structural model:
Cell: 7.1198 8.8723 9.6924 Å, 90.00 106.16 90.00°
Element x y z (fractional)
Ca  0.2244  0.0000  0.2901
Ca  0.7756  0.5000  0.7099
Cu  0.2795  0.0074  0.9294
Cu  0.2810  0.6155  0.4308
Cu  0.7190  0.1155  0.5692
Cu  0.7205  0.5074  0.0706
As  0.0796  0.3017  0.5038
As  0.0848  0.3210  0.0109
As  0.4584  0.2630  0.7814
As  0.4686  0.3600  0.2831
As  0.5314  0.8600  0.7169
As  0.5416  0.7630  0.2186
As  0.9152  0.8210  0.9891
As  0.9204  0.8017  0.4962
O  0.0825  0.3957  0.8529
O  0.0911  0.2104  0.3576
O  0.1336  0.4912  0.5200
O  0.1374  0.8349  0.9520
O  0.1409  0.7945  0.4533
O  0.1540  0.1320  0.0403
O  0.2380  0.2054  0.6569
O  0.2491  0.4225  0.1566
O  0.3369  0.8886  0.7866
O  0.3519  0.7378  0.2986
O  0.4652  0.1499  0.9268
O  0.4731  0.4765  0.4295
O  0.4819  0.1835  0.3449
O  0.4854  0.9418  0.1688
O  0.5146  0.4418  0.8312
O  0.5181  0.6835  0.6551
O  0.5269  0.9765  0.5705
O  0.5348  0.6499  0.0732
O  0.6481  0.2378  0.7014
O  0.6631  0.3886  0.2134
O  0.7509  0.9225  0.8434
O  0.7620  0.7054  0.3431
O  0.8460  0.6320  0.9597
O  0.8591  0.2945  0.5467
O  0.8626  0.3349  0.0480
O  0.8664  0.9912  0.4800
O  0.9089  0.7104  0.6424
O  0.9175  0.8957  0.1471

Top 10 peaks for 10 to 90 degrees two-theta, in order of rising 2θ:
2θ (°)	intensity	h k l
13.78	25	0 1 1
19.86	22	1 0 -2
20.02	32	0 2 0
20.71	70	1 1 1
25.98	99	1 0 2
28.34	100	1 2 -2
29.55	78	2 1 -2
33.04	90	2 2 0
33.35	24	1 3 -1
40.87	27	3 1 0

=====

Starting from a structure optimized by DFT (GGA-PBE), the powder X-ray diffraction pattern of CaCu10Te4As4O34 was simulated for copper Kα.
Kinematic intensities with the Lorentz-polarization factor, no thermal factor.

Structural model:
Cell: 8.9850 9.0224 10.3016 Å, 69.42 77.55 86.83°
Element x y z (fractional)
Ca  0.0000  0.0000  0.0000
Cu  0.0155  0.3334  0.2483
Cu  0.3713  0.1888  0.3346
Cu  0.3765  0.5515  0.7522
Cu  0.3869  0.8960  0.0000
Cu  0.4913  0.8019  0.3283
Cu  0.5087  0.1981  0.6717
Cu  0.6131  0.1040  0.0000
Cu  0.6235  0.4485  0.2478
Cu  0.6287  0.8112  0.6654
Cu  0.9845  0.6666  0.7517
Te  0.1438  0.9543  0.3412
Te  0.1684  0.3719  0.6630
Te  0.8316  0.6281  0.3370
Te  0.8562  0.0457  0.6588
As  0.2748  0.9304  0.7142
As  0.2769  0.5759  0.2616
As  0.7231  0.4241  0.7384
As  0.7252  0.0696  0.2858
O  0.0698  0.3971  0.0545
O  0.0924  0.5016  0.3170
O  0.0957  0.2329  0.8406
O  0.1119  0.8984  0.6654
O  0.1647  0.1788  0.3290
O  0.1659  0.9853  0.1522
O  0.1765  0.5665  0.7062
O  0.2343  0.9042  0.8918
O  0.2952  0.6901  0.3634
O  0.3209  0.4671  0.9444
O  0.3424  0.1223  0.6133
O  0.3428  0.6757  0.0857
O  0.3612  0.9741  0.3512
O  0.3870  0.3774  0.6746
O  0.3928  0.4106  0.3108
O  0.4115  0.7949  0.6825
O  0.4719  0.0939  0.8975
O  0.5281  0.9061  0.1025
O  0.5885  0.2051  0.3175
O  0.6072  0.5894  0.6892
O  0.6130  0.6226  0.3254
O  0.6388  0.0259  0.6488
O  0.6572  0.3243  0.9143
O  0.6576  0.8777  0.3867
O  0.6791  0.5329  0.0556
O  0.7048  0.3099  0.6366
O  0.7657  0.0958  0.1082
O  0.8235  0.4335  0.2938
O  0.8341  0.0147  0.8478
O  0.8353  0.8212  0.6710
O  0.8881  0.1016  0.3346
O  0.9043  0.7671  0.1594
O  0.9076  0.4984  0.6829
O  0.9302  0.6029  0.9455

Top 10 peaks for 10 to 90 degrees two-theta, in order of rising 2θ:
2θ (°)	intensity	h k l
18.82	100	0 0 2
28.40	84	0 0 3
29.02	27	2 -2 0
29.57	78	-2 2 1
30.99	22	3 1 1
31.42	36	1 3 2
32.26	30	3 1 2
33.66	39	1 3 0
36.54	24	2 -2 2
52.62	22	5 -1 1